For Li4InGa, a crystal structure in Alexandria, relaxed with GGA-PBE gives the calculated PXRD pattern in this record (Cu Kα, 1.54184 Å).

Main lines, by angle (5 to 70 degrees two-theta):
2θ = 11.15°, intensity 13.0, hkl 0 0 1
2θ = 22.26°, intensity 100.0, hkl 0 1 1
2θ = 22.41°, intensity 49.0, hkl 0 0 2
2θ = 31.82°, intensity 18.2, hkl 1 0 0
2θ = 38.97°, intensity 16.0, hkl 0 2 0
2θ = 39.14°, intensity 42.2, hkl 1 0 -2
2θ = 39.24°, intensity 60.5, hkl 0 1 3
2θ = 39.37°, intensity 13.6, hkl 1 0 2
2θ = 45.42°, intensity 14.9, hkl 0 2 2
2θ = 51.21°, intensity 18.5, hkl 1 1 -3
2θ = 56.44°, intensity 9.9, hkl 1 2 -2
2θ = 56.61°, intensity 13.6, hkl 1 2 2

Cell and atoms:
Cell: 2.8123 4.6222 7.9355 Å, 90.00 90.30 90.00°
Sites, in units of the cell vectors:
Li: 0.0000 0.0000 0.0000
Li: 0.0121 0.5000 0.5157
Li: 0.9341 0.5000 0.8363
Li: 0.9510 0.0000 0.3518
In: 0.4751 0.5000 0.1759
Ga: 0.4744 0.0000 0.6763